Structure and simulated powder diffraction line list of NdY2Cu (a PBE-relaxed structure; Cu Kα).
Intensities are scaled so that the largest is 100.

Most intense lines, 5 to 70 degrees two-theta, most intense first:
2θ (°), I (rel.), (hkl)
30.75, 100, 1 2 -1
28.67, 38, 1 0 1
35.75, 38, 2 0 -1
31.12, 36, 1 1 1
32.38, 30, 0 1 2
49.00, 19, 2 1 -3
38.68, 18, 0 2 2
56.51, 15, 1 3 -3
53.68, 14, 2 2 1
61.15, 14, 3 2 -2

Cell: 5.023 7.475 6.460 Å, 90.00 112.87 90.00°
Element x y z (fractional)
Nd  0.046  0.250  0.092
Nd  0.954  0.750  0.908
Y  0.350  0.028  0.700
Y  0.350  0.472  0.700
Y  0.650  0.528  0.300
Y  0.650  0.972  0.300
Cu  0.199  0.750  0.395
Cu  0.801  0.250  0.605